# 1
Structure and computed powder XRD pattern of InCuO3 (the PBE geometry in Alexandria; copper Kα).
Peak positions follow from Bragg's law for the DFT cell and can differ from measured ones.

Most intense lines, 15 to 90 degrees two-theta, by angle:
| 2θ/deg | d (Å) | I_rel |
| --- | --- | --- |
| 31.4 | 2.852 | 32.8 |
| 31.7 | 2.820 | 100.0 |
| 36.7 | 2.449 | 40.1 |
| 52.6 | 1.739 | 27.6 |
| 53.1 | 1.724 | 33.5 |
| 63.0 | 1.476 | 24.8 |

Crystal structure
Cell: 6.041 6.041 6.041 Å, 33.17 33.17 33.17°
Atoms (fractional coordinates):
In1 0.000 0.000 0.000
Cu1 0.495 0.495 0.495
O1 0.155 0.155 0.155
O2 0.386 0.386 0.386
O3 0.605 0.605 0.605


# 2
Structure and computed powder XRD pattern of Cs3Ga2H4 (the PBE geometry in Alexandria; copper Kα).
Peak positions follow from Bragg's law for the DFT cell and can differ from measured ones.

Most intense lines, 15 to 90 degrees two-theta, by angle:
| 2θ/deg | d (Å) | I_rel |
| --- | --- | --- |
| 18.6 | 4.782 | 58.6 |
| 25.9 | 3.443 | 86.4 |
| 27.2 | 3.281 | 100.0 |
| 28.3 | 3.149 | 54.3 |
| 29.3 | 3.052 | 61.9 |
| 29.6 | 3.017 | 30.9 |

Crystal structure
Cell: 10.002 10.002 6.157 Å, 101.73 101.73 71.40°
Atoms (fractional coordinates):
Cs1 0.146 0.854 0.750
Cs2 0.200 0.383 0.564
Cs3 0.383 0.200 0.064
Cs4 0.617 0.800 0.936
Cs5 0.800 0.617 0.436
Cs6 0.854 0.146 0.250
Ga1 0.045 0.611 0.056
Ga2 0.389 0.955 0.444
Ga3 0.611 0.045 0.556
Ga4 0.955 0.389 0.944
H1 0.071 0.641 0.339
H2 0.218 0.559 0.019
H3 0.359 0.929 0.161
H4 0.441 0.782 0.481
H5 0.559 0.218 0.519
H6 0.641 0.071 0.839
H7 0.782 0.441 0.981
H8 0.929 0.359 0.661


# 3
Structure and computed powder XRD pattern of LaNd4Te5 (the PBE geometry in Alexandria; copper Kα).
Peak positions follow from Bragg's law for the DFT cell and can differ from measured ones.

Most intense lines, 15 to 90 degrees two-theta, by angle:
| 2θ/deg | d (Å) | I_rel |
| --- | --- | --- |
| 27.9 | 3.193 | 100.0 |
| 39.9 | 2.258 | 76.5 |
| 49.4 | 1.844 | 27.5 |
| 65.3 | 1.428 | 17.7 |
| 65.4 | 1.427 | 11.8 |
| 72.6 | 1.303 | 17.3 |

Crystal structure
Cell: 11.968 11.968 11.968 Å, 158.26 149.10 38.10°
Atoms (fractional coordinates):
La1 0.000 0.000 0.000
Nd1 0.201 0.201 0.000
Nd2 0.400 0.400 0.000
Nd3 0.600 0.600 0.000
Nd4 0.799 0.799 0.000
Te1 0.102 0.602 0.500
Te2 0.300 0.800 0.500
Te3 0.500 0.000 0.500
Te4 0.700 0.200 0.500
Te5 0.898 0.398 0.500


# 4
Structure and computed powder XRD pattern of SmSeS (the PBE geometry in Alexandria; copper Kα).
Peak positions follow from Bragg's law for the DFT cell and can differ from measured ones.

Most intense lines, 15 to 90 degrees two-theta, by angle:
| 2θ/deg | d (Å) | I_rel |
| --- | --- | --- |
| 24.5 | 3.630 | 97.9 |
| 32.4 | 2.762 | 34.5 |
| 33.2 | 2.699 | 58.9 |
| 38.3 | 2.351 | 100.0 |
| 39.5 | 2.280 | 35.1 |
| 44.9 | 2.019 | 46.1 |

Crystal structure
Cell: 16.571 4.038 4.038 Å, 90.00 90.00 90.00°
Atoms (fractional coordinates):
Sm1 0.143 0.250 0.249
Sm2 0.357 0.750 0.749
Sm3 0.643 0.250 0.251
Sm4 0.857 0.750 0.751
Se1 0.000 0.250 0.750
Se2 0.000 0.750 0.250
Se3 0.500 0.250 0.750
Se4 0.500 0.750 0.250
S1 0.184 0.750 0.749
S2 0.316 0.250 0.249
S3 0.684 0.750 0.751
S4 0.816 0.250 0.251


# 5
Structure and computed powder XRD pattern of Y2SnGe (the PBE geometry in Alexandria; copper Kα).
Peak positions follow from Bragg's law for the DFT cell and can differ from measured ones.

Most intense lines, 15 to 90 degrees two-theta, by angle:
| 2θ/deg | d (Å) | I_rel |
| --- | --- | --- |
| 30.7 | 2.909 | 100.0 |
| 32.1 | 2.786 | 33.7 |
| 38.4 | 2.345 | 39.5 |
| 38.5 | 2.336 | 39.1 |
| 40.8 | 2.212 | 27.2 |
| 44.0 | 2.058 | 23.5 |

Crystal structure
Cell: 6.008 4.116 8.640 Å, 90.00 108.20 90.00°
Atoms (fractional coordinates):
Y1 0.191 0.250 0.422
Y2 0.281 0.750 0.060
Y3 0.719 0.250 0.940
Y4 0.809 0.750 0.578
Sn1 0.383 0.750 0.707
Sn2 0.617 0.250 0.293
Ge1 0.111 0.250 0.797
Ge2 0.889 0.750 0.203


# 6
Structure and computed powder XRD pattern of KNa14Li (the PBE geometry in Alexandria; copper Kα).
Peak positions follow from Bragg's law for the DFT cell and can differ from measured ones.

Most intense lines, 15 to 90 degrees two-theta, by angle:
| 2θ/deg | d (Å) | I_rel |
| --- | --- | --- |
| 29.1 | 3.069 | 100.0 |
| 33.5 | 2.678 | 33.7 |
| 34.2 | 2.621 | 16.2 |
| 48.6 | 1.873 | 21.7 |
| 57.1 | 1.613 | 12.4 |
| 57.2 | 1.610 | 12.2 |

Crystal structure
Cell: 7.574 7.574 10.482 Å, 90.00 90.00 90.13°
Atoms (fractional coordinates):
K1 0.000 0.000 0.000
Na1 0.000 0.000 0.500
Na2 0.000 0.500 0.000
Na3 0.000 0.500 0.500
Na4 0.262 0.262 0.253
Na5 0.262 0.262 0.747
Na6 0.262 0.738 0.253
Na7 0.262 0.738 0.747
Na8 0.500 0.000 0.000
Na9 0.500 0.000 0.500
Na10 0.500 0.500 0.500
Na11 0.738 0.262 0.253
Na12 0.738 0.262 0.747
Na13 0.738 0.738 0.253
Na14 0.738 0.738 0.747
Li1 0.500 0.500 0.000


Copy entry 2 word for word.
Structure and computed powder XRD pattern of Cs3Ga2H4 (the PBE geometry in Alexandria; copper Kα).
Peak positions follow from Bragg's law for the DFT cell and can differ from measured ones.

Most intense lines, 15 to 90 degrees two-theta, by angle:
| 2θ/deg | d (Å) | I_rel |
| --- | --- | --- |
| 18.6 | 4.782 | 58.6 |
| 25.9 | 3.443 | 86.4 |
| 27.2 | 3.281 | 100.0 |
| 28.3 | 3.149 | 54.3 |
| 29.3 | 3.052 | 61.9 |
| 29.6 | 3.017 | 30.9 |

Crystal structure
Cell: 10.002 10.002 6.157 Å, 101.73 101.73 71.40°
Atoms (fractional coordinates):
Cs1 0.146 0.854 0.750
Cs2 0.200 0.383 0.564
Cs3 0.383 0.200 0.064
Cs4 0.617 0.800 0.936
Cs5 0.800 0.617 0.436
Cs6 0.854 0.146 0.250
Ga1 0.045 0.611 0.056
Ga2 0.389 0.955 0.444
Ga3 0.611 0.045 0.556
Ga4 0.955 0.389 0.944
H1 0.071 0.641 0.339
H2 0.218 0.559 0.019
H3 0.359 0.929 0.161
H4 0.441 0.782 0.481
H5 0.559 0.218 0.519
H6 0.641 0.071 0.839
H7 0.782 0.441 0.981
H8 0.929 0.359 0.661


Number 4 is which compound?
SmSeS


Which formula does entry 3 have?
LaNd4Te5